The following is a computed X-ray diffraction stick pattern of TcPBrCl2. It was derived from a structure optimized by DFT (GGA-PBE), using CuKα.

Peak list (8 most intense, 2θ from 5° to 70°, by angle)
Position (°2θ)  intensity  (hkl)
18.72  17  0 0 1
26.58  100  1 0 1
37.87  47  2 0 0
38.08  23  0 0 2
46.88  30  2 1 1
54.63  15  2 2 0
54.79  30  2 0 2
68.53  15  2 2 2

Crystal structure
```
data_TcPBrCl2
_chemical_formula_sum 'Tc1 P1 Br1 Cl2'
_cell_length_a 4.7516
_cell_length_b 4.7516
_cell_length_c 4.7267
_cell_angle_alpha 90.00
_cell_angle_beta 90.00
_cell_angle_gamma 90.00
_symmetry_space_group_name_H-M 'P 4/m m m'
_symmetry_Int_Tables_number 123
_symmetry_space_group_name_Hall '-P 4 2'
loop_
_atom_site_label
_atom_site_type_symbol
_atom_site_fract_x
_atom_site_fract_y
_atom_site_fract_z
Tc1 Tc 0.0000 0.0000 0.0000
P1 P 0.0000 0.0000 0.5000
Br1 Br 0.5000 0.5000 0.5000
Cl1 Cl 0.0000 0.5000 0.0000
```